Record 1
Starting from a GGA-PBE-relaxed structure, the powder diffraction line list of Pr5SiGe2 was calculated for λ = 1.5418 Å (Cu Kα).

Largest 10 diffraction maxima, sorted by position, 2θ from 10° to 90°:
2θ 23.08, d 3.854, I = 19.2, (0 2 2)
2θ 23.92, d 3.720, I = 19.2, (1 3 1)
2θ 28.77, d 3.103, I = 36.9, (2 2 0)
2θ 30.69, d 2.913, I = 42.1, (0 5 1)
2θ 33.22, d 2.697, I = 97.2, (2 3 1)
2θ 33.48, d 2.677, I = 100.0, (1 4 2)
2θ 34.92, d 2.569, I = 46.2, (0 6 0)
2θ 48.97, d 1.860, I = 26.8, (2 0 4)
2θ 51.15, d 1.786, I = 30.0, (3 4 2)
2θ 54.80, d 1.675, I = 24.9, (2 8 0)

Cell and atoms:
Cell: 6.7803 15.4253 8.8943 Å, 90.00 90.00 90.00°
Space group Amm2 (No. 38)
Unique sites:
1 Pr 0.0000 0.0000 0.0000
2 Pr 0.0000 0.1238 0.3719
3 Pr 0.2526 0.1677 0.7470
4 Pr 0.5000 0.0000 0.4925
5 Pr 0.5000 0.1239 0.1249
6 Si 0.5000 0.1962 0.4439
7 Ge 0.0000 0.0000 0.6398
8 Ge 0.0000 0.1959 0.0513
9 Ge 0.5000 0.0000 0.8552

=====

Record 2
Starting from a GGA-PBE-relaxed structure, the powder diffraction line list of Pr4SiGe was calculated for λ = 1.5418 Å (Cu Kα).

Largest 10 diffraction maxima, sorted by position, 2θ from 10° to 90°:
2θ 24.54, d 3.628, I = 60.9, (1 1 1)
2θ 29.90, d 2.988, I = 84.3, (3 1 -1)
2θ 30.68, d 2.914, I = 100.0, (0 4 1)
2θ 33.01, d 2.714, I = 66.1, (2 4 -1)
2θ 33.30, d 2.690, I = 30.4, (3 1 -2)
2θ 34.16, d 2.625, I = 34.4, (1 3 -2)
2θ 34.53, d 2.598, I = 38.2, (0 2 2)
2θ 34.81, d 2.578, I = 39.2, (1 5 0)
2θ 36.27, d 2.477, I = 46.3, (2 2 1)
2θ 39.51, d 2.281, I = 33.7, (3 3 0)

Cell and atoms:
Cell: 9.1980 13.6313 6.5339 Å, 90.00 120.67 90.00°
Space group C2/c (No. 15)
Unique sites:
1 Pr 0.1265 0.1841 0.0940
2 Pr 0.1883 0.4306 0.2758
3 Si 0.0000 0.3686 0.7500
4 Ge 0.0000 0.0019 0.7500

=====

Record 3
Starting from a GGA-PBE-relaxed structure, the powder diffraction line list of Pr3SiGe2 was calculated for λ = 1.5418 Å (Cu Kα).

Largest 10 diffraction maxima, sorted by position, 2θ from 10° to 90°:
2θ 26.54, d 3.358, I = 31.9, (3 0 2)
2θ 26.75, d 3.332, I = 26.1, (2 1 1)
2θ 29.68, d 3.010, I = 39.7, (2 1 2)
2θ 30.30, d 2.950, I = 20.9, (1 0 4)
2θ 30.53, d 2.928, I = 100.0, (0 1 3)
2θ 31.45, d 2.844, I = 19.3, (1 1 3)
2θ 31.55, d 2.835, I = 37.9, (3 1 1)
2θ 34.10, d 2.629, I = 33.1, (3 1 2)
2θ 37.33, d 2.409, I = 19.3, (4 1 1)
2θ 42.79, d 2.113, I = 33.5, (0 2 0)

Cell and atoms:
Cell: 12.0814 4.2265 12.1681 Å, 90.00 90.00 90.00°
Space group Pnma (No. 62)
Unique sites:
1 Pr 0.0624 0.2500 0.1221
2 Pr 0.1161 0.7500 0.5557
3 Pr 0.2073 0.2500 0.7927
4 Si 0.1322 0.2500 0.3707
5 Ge 0.0240 0.7500 0.3086
6 Ge 0.1929 0.7500 0.9891

=====

Record 4
Starting from a GGA-PBE-relaxed structure, the powder diffraction line list of Pr3Si2Ge4 was calculated for λ = 1.5418 Å (Cu Kα).

Largest 10 diffraction maxima, sorted by position, 2θ from 10° to 90°:
2θ 24.25, d 3.671, I = 30.5, (1 1 -1)
2θ 30.99, d 2.885, I = 50.8, (0 0 3)
2θ 31.16, d 2.870, I = 50.0, (4 0 -1)
2θ 32.47, d 2.757, I = 100.0, (1 1 2)
2θ 32.55, d 2.751, I = 99.0, (3 1 0)
2θ 40.38, d 2.234, I = 87.4, (3 1 -3)
2θ 43.45, d 2.083, I = 35.9, (4 0 2)
2θ 43.77, d 2.068, I = 35.2, (0 2 0)
2θ 60.66, d 1.527, I = 25.7, (1 1 5)
2θ 60.95, d 1.520, I = 25.8, (7 1 -1)

Cell and atoms:
Cell: 11.4937 4.1365 9.0048 Å, 90.00 105.99 90.00°
Space group C2/m (No. 12)
Unique sites:
1 Pr 0.0000 0.0000 0.0000
2 Pr 0.1679 0.5000 0.6620
3 Si 0.1126 0.5000 0.2745
4 Ge 0.0544 0.0000 0.3850
5 Ge 0.2197 0.5000 0.0658

=====

Record 5
Starting from a GGA-PBE-relaxed structure, the powder diffraction line list of Pr10Si3Ge3 was calculated for λ = 1.5418 Å (Cu Kα).

Largest 10 diffraction maxima, sorted by position, 2θ from 10° to 90°:
2θ 23.11, d 3.849, I = 22.5, (2 0 0)
2θ 23.95, d 3.716, I = 26.2, (1 1 1)
2θ 28.80, d 3.100, I = 40.1, (1 0 2)
2θ 30.73, d 2.909, I = 44.2, (2 1 0)
2θ 33.26, d 2.694, I = 99.9, (1 1 2)
2θ 33.52, d 2.673, I = 100.0, (2 1 1)
2θ 34.97, d 2.566, I = 46.8, (3 0 0)
2θ 49.03, d 1.858, I = 28.0, (2 2 2)
2θ 51.22, d 1.784, I = 30.0, (2 1 3)
2θ 54.88, d 1.673, I = 27.1, (4 0 2)

Cell and atoms:
Cell: 8.8879 8.8879 6.7730 Å, 90.00 90.00 120.00°
Space group P-62m (No. 189)
Unique sites:
1 Pr 0.0000 0.2464 0.0000
2 Pr 0.0000 0.7514 0.5000
3 Pr 0.3333 0.6667 0.2461
4 Si 0.0000 0.6075 0.0000
5 Ge 0.0000 0.3918 0.5000

=====

Record 6
Starting from a GGA-PBE-relaxed structure, the powder diffraction line list of Pr8SiGe3Te4 was calculated for λ = 1.5418 Å (Cu Kα).

Largest 10 diffraction maxima, sorted by position, 2θ from 10° to 90°:
2θ 28.37, d 3.146, I = 100.0, (0 2 4)
2θ 30.89, d 2.895, I = 6.6, (2 0 5)
2θ 40.20, d 2.243, I = 36.0, (2 0 8)
2θ 40.90, d 2.207, I = 38.2, (2 2 0)
2θ 50.52, d 1.807, I = 20.1, (4 0 4)
2θ 58.69, d 1.573, I = 11.8, (0 4 8)
2θ 65.95, d 1.416, I = 14.4, (2 2 12)
2θ 66.94, d 1.398, I = 17.1, (2 4 4)
2θ 74.00, d 1.281, I = 11.8, (4 2 8)
2θ 74.47, d 1.274, I = 6.4, (6 0 0)

Cell and atoms:
Cell: 8.8269 8.8269 22.1677 Å, 90.00 90.00 120.00°
Space group R-3m (No. 166, hexagonal axes)
Unique sites:
1 Pr 0.0000 0.0000 0.2418
2 Pr 0.0011 0.5006 0.2416
3 Si 0.0000 0.0000 0.5000
4 Ge 0.0000 0.5000 0.5000
5 Te 0.0000 0.0000 0.0000
6 Te 0.0000 0.5000 0.0000

=====

Record 7
Starting from a GGA-PBE-relaxed structure, the powder diffraction line list of PrThSiGe was calculated for λ = 1.5418 Å (Cu Kα).

Largest 10 diffraction maxima, sorted by position, 2θ from 10° to 90°:
2θ 21.63, d 4.109, I = 37.2, (0 1 1)
2θ 27.03, d 3.299, I = 47.5, (1 0 2)
2θ 30.77, d 2.906, I = 100.0, (1 1 1)
2θ 31.58, d 2.833, I = 49.4, (0 1 3)
2θ 32.37, d 2.766, I = 30.6, (0 0 4)
2θ 38.60, d 2.333, I = 44.5, (1 1 3)
2θ 40.78, d 2.213, I = 23.8, (0 2 0)
2θ 44.07, d 2.055, I = 19.5, (2 0 0)
2θ 49.61, d 1.838, I = 25.9, (1 2 2)
2θ 55.22, d 1.663, I = 20.8, (2 1 3)

Cell and atoms:
Cell: 4.1095 4.4255 11.0635 Å, 90.00 90.00 90.00°
Space group Amm2 (No. 38)
Unique sites:
1 Pr 0.0000 0.0000 0.0000
2 Th 0.5000 0.0000 0.2778
3 Si 0.0000 0.0000 0.7220
4 Ge 0.5000 0.0000 0.5632

=====

Record 8
Starting from a GGA-PBE-relaxed structure, the powder diffraction line list of PrSm4Ge4 was calculated for λ = 1.5418 Å (Cu Kα).

Largest 10 diffraction maxima, sorted by position, 2θ from 10° to 90°:
2θ 26.02, d 3.425, I = 46.2, (2 1 1)
2θ 30.21, d 2.958, I = 100.0, (1 3 0)
2θ 31.49, d 2.841, I = 48.9, (1 0 2)
2θ 33.82, d 2.650, I = 12.3, (3 1 1)
2θ 37.02, d 2.428, I = 22.2, (1 2 2)
2θ 41.92, d 2.155, I = 24.5, (3 0 2)
2θ 43.25, d 2.092, I = 33.3, (4 2 0)
2θ 46.39, d 1.957, I = 26.2, (3 2 2)
2θ 50.55, d 1.806, I = 17.4, (1 4 2)
2θ 51.17, d 1.785, I = 14.9, (5 0 1)

Cell and atoms:
Cell: 9.3553 9.3553 5.9631 Å, 90.00 90.00 90.00°
Space group P4_2/n (No. 86, origin choice 2)
Unique sites:
1 Pr 0.2500 0.2500 0.2500
2 Sm 0.0719 0.6584 0.1373
3 Ge 0.0288 0.6185 0.6329

=====

Record 9
Starting from a GGA-PBE-relaxed structure, the powder diffraction line list of Pr2Sm3Ge4 was calculated for λ = 1.5418 Å (Cu Kα).

Largest 10 diffraction maxima, sorted by position, 2θ from 10° to 90°:
2θ 29.34, d 3.044, I = 17.1, (1 2 1)
2θ 30.27, d 2.953, I = 23.8, (2 1 -2)
2θ 31.57, d 2.834, I = 17.6, (2 1 1)
2θ 31.95, d 2.801, I = 100.0, (1 1 2)
2θ 32.36, d 2.766, I = 58.5, (2 2 0)
2θ 35.45, d 2.532, I = 16.8, (3 0 0)
2θ 35.54, d 2.526, I = 36.3, (0 3 1)
2θ 36.47, d 2.463, I = 51.8, (1 1 -3)
2θ 46.69, d 1.945, I = 16.5, (0 4 1)
2θ 54.50, d 1.684, I = 16.3, (1 3 3)

Cell and atoms:
Cell: 7.9723 8.0634 7.7594 Å, 90.00 107.64 90.00°
Space group P2_1/c (No. 14)
Unique sites:
1 Pr 0.1984 0.1802 0.0811
2 Sm 0.2448 0.6748 0.2547
3 Sm 0.5000 0.0000 0.5000
4 Ge 0.0818 0.5336 0.8673
5 Ge 0.4892 0.1295 0.8682

=====

Record 10
Starting from a GGA-PBE-relaxed structure, the powder diffraction line list of Pr12SnGe6 was calculated for λ = 1.5418 Å (Cu Kα).

Largest 10 diffraction maxima, sorted by position, 2θ from 10° to 90°:
2θ 27.00, d 3.302, I = 25.9, (3 1 0)
2θ 29.63, d 3.015, I = 45.8, (2 2 2)
2θ 32.07, d 2.791, I = 100.0, (3 2 1)
2θ 34.35, d 2.611, I = 20.0, (4 0 0)
2θ 44.22, d 2.048, I = 19.9, (5 1 0)
2θ 50.99, d 1.791, I = 32.0, (5 0 3)
2θ 54.14, d 1.694, I = 31.3, (5 3 2)
2θ 62.93, d 1.477, I = 19.8, (5 4 3)
2θ 77.57, d 1.231, I = 13.1, (8 2 2)
2θ 78.84, d 1.214, I = 14.8, (7 5 0)

Cell and atoms:
Cell: 10.4431 10.4431 10.4431 Å, 90.00 90.00 90.00°
Space group Im-3 (No. 204)
Unique sites:
1 Pr 0.0000 0.1876 0.2942
2 Sn 0.0000 0.0000 0.0000
3 Ge 0.0000 0.3811 0.5000

=====

Record 11
Starting from a GGA-PBE-relaxed structure, the powder diffraction line list of Pr2SnGe2 was calculated for λ = 1.5418 Å (Cu Kα).

Largest 10 diffraction maxima, sorted by position, 2θ from 10° to 90°:
2θ 26.07, d 3.418, I = 15.1, (2 1 0)
2θ 30.96, d 2.889, I = 58.5, (2 0 1)
2θ 33.16, d 2.702, I = 100.0, (2 1 1)
2θ 37.21, d 2.416, I = 32.9, (3 1 0)
2θ 40.90, d 2.207, I = 21.0, (0 0 2)
2θ 49.16, d 1.853, I = 14.6, (4 1 0)
2θ 53.63, d 1.709, I = 23.6, (2 2 2)
2θ 56.48, d 1.629, I = 19.7, (3 1 2)
2θ 65.81, d 1.419, I = 23.7, (5 1 1)
2θ 69.59, d 1.351, I = 18.9, (2 1 3)

Cell and atoms:
Cell: 7.6414 7.6414 4.4130 Å, 90.00 90.00 90.00°
Space group P4/mbm (No. 127)
Unique sites:
1 Pr 0.1810 0.3190 0.0000
2 Sn 0.0000 0.0000 0.5000
3 Ge 0.1182 0.6182 0.5000

=====

Record 12
Starting from a GGA-PBE-relaxed structure, the powder diffraction line list of SrPr4Ge4 was calculated for λ = 1.5418 Å (Cu Kα).

Largest 10 diffraction maxima, sorted by position, 2θ from 10° to 90°:
2θ 12.67, d 6.986, I = 64.3, (1 1 0)
2θ 24.93, d 3.571, I = 30.8, (2 1 1)
2θ 28.57, d 3.124, I = 100.0, (1 3 0)
2θ 29.51, d 3.027, I = 27.0, (2 2 1)
2θ 30.84, d 2.899, I = 79.0, (1 0 2)
2θ 32.23, d 2.777, I = 27.9, (3 1 1)
2θ 35.96, d 2.497, I = 47.0, (2 3 1)
2θ 40.44, d 2.230, I = 81.7, (3 0 2)
2θ 48.42, d 1.880, I = 32.2, (1 4 2)
2θ 55.51, d 1.655, I = 26.2, (4 3 2)

Cell and atoms:
Cell: 9.8790 9.8790 6.0652 Å, 90.00 90.00 90.00°
Space group P4_2/n (No. 86, origin choice 2)
Unique sites:
1 Sr 0.2500 0.2500 0.2500
2 Pr 0.1083 0.6338 0.1306
3 Ge 0.0553 0.5847 0.6405

=====

- Which formula does entry 7 have?
  PrThSiGe